Structure and theoretical XRD peak list of SrCaEuWO6 (a DFT-relaxed cell (PBE+U, the Materials Project); λ = 1.5418 Å (Cu Kα)).

Peak list (10 most intense, 10° ≤ 2θ ≤ 90°, most intense first)
| 2θ (°) | d (Å) | I_rel | h k l |
| --- | --- | --- | --- |
| 30.21 | 2.959 | 100.0 | 2 2 0 |
| 53.66 | 1.708 | 40.1 | 4 2 2 |
| 43.25 | 2.092 | 30.9 | 4 0 0 |
| 18.36 | 4.831 | 30.9 | 1 1 1 |
| 87.17 | 1.118 | 21.7 | 6 4 2 |
| 62.82 | 1.479 | 19.0 | 4 4 0 |
| 71.27 | 1.323 | 18.0 | 6 2 0 |
| 35.58 | 2.523 | 15.6 | 3 1 1 |
| 57.20 | 1.610 | 6.5 | 5 1 1 |
| 66.05 | 1.414 | 6.3 | 5 3 1 |

Atomic structure:
Unit cell a=8.368 b=8.368 c=8.368 alpha=90.00 beta=90.00 gamma=90.00
Space group F-43m (No. 216)
Asymmetric unit:
1 Sr 0.000 0.000 0.000 [4 per cell]
2 Ca 0.250 0.250 0.250 [4 per cell]
3 Eu 0.000 0.000 0.500 [4 per cell]
4 W 0.250 0.250 0.750 [4 per cell]
5 O 0.018 0.250 0.750 [24 per cell]